[1]
# PrZnCu2O6
Theoretical XRD peak list, Cu Kα X-rays. Input: the GGA-PBE geometry in the Materials Project.
Neutral-atom scattering factors, no anomalous dispersion.

Crystal structure
```
PrZnCu2O6
1.0
7.605 0.000 0.000
0.000 5.427 0.000
0.000 0.000 5.217
Pr Zn Cu O
2 2 4 12
Direct
0.000 0.206 0.000
0.500 0.794 0.500
0.000 0.697 0.463
0.500 0.303 0.963
0.248 0.747 0.988
0.252 0.253 0.488
0.748 0.253 0.488
0.752 0.747 0.988
0.000 0.302 0.560
0.000 0.772 0.853
0.192 0.948 0.297
0.193 0.487 0.219
0.307 0.513 0.719
0.308 0.052 0.797
0.500 0.228 0.353
0.500 0.698 0.060
0.692 0.052 0.797
0.693 0.513 0.719
0.807 0.487 0.219
0.808 0.948 0.297
```

Largest 10 diffraction maxima, by angle, 2θ from 10° to 90°:
- 2θ = 20.65°, intensity 8.2
- 2θ = 33.01°, intensity 21.6
- 2θ = 33.51°, intensity 100.0
- 2θ = 34.38°, intensity 21.2
- 2θ = 47.84°, intensity 13.9
- 2θ = 48.40°, intensity 23.3
- 2θ = 59.31°, intensity 23.3
- 2θ = 60.23°, intensity 10.8
- 2θ = 61.03°, intensity 20.6
- 2θ = 70.44°, intensity 13.2

=====

[2]
# Rb3P11
Theoretical XRD peak list, Cu Kα X-rays. Input: the GGA-PBE geometry in the Materials Project.
Neutral-atom scattering factors, no anomalous dispersion.

Crystal structure
```
Rb3P11
1.0
2.095 1.210 45.858
-2.095 1.210 45.858
0.000 -2.419 45.858
Rb P
6 22
Direct
0.050 0.050 0.050
0.181 0.181 0.181
0.439 0.439 0.439
0.561 0.561 0.561
0.819 0.819 0.819
0.950 0.950 0.950
0.008 0.008 0.008
0.083 0.083 0.083
0.121 0.121 0.121
0.137 0.137 0.137
0.246 0.246 0.246
0.262 0.262 0.262
0.304 0.304 0.304
0.342 0.342 0.342
0.359 0.359 0.359
0.403 0.403 0.403
0.463 0.463 0.463
0.537 0.537 0.537
0.597 0.597 0.597
0.641 0.641 0.641
0.658 0.658 0.658
0.696 0.696 0.696
0.738 0.738 0.738
0.754 0.754 0.754
0.863 0.863 0.863
0.879 0.879 0.879
0.917 0.917 0.917
0.992 0.992 0.992
```

Largest 10 diffraction maxima, by angle, 2θ from 10° to 90°:
- 2θ = 25.08°, intensity 18.8
- 2θ = 25.25°, intensity 22.2
- 2θ = 25.39°, intensity 32.0
- 2θ = 26.67°, intensity 42.6
- 2θ = 28.78°, intensity 70.5
- 2θ = 31.86°, intensity 72.6
- 2θ = 33.20°, intensity 20.3
- 2θ = 43.18°, intensity 100.0
- 2θ = 50.70°, intensity 23.4
- 2θ = 55.54°, intensity 28.6

=====

[3]
# Nd3InN
Theoretical XRD peak list, Cu Kα X-rays. Input: the GGA-PBE geometry in the Materials Project.
Neutral-atom scattering factors, no anomalous dispersion.

Crystal structure
```
Nd3InN
1.0
5.041 0.000 0.000
0.000 5.041 0.000
0.000 0.000 5.041
Nd In N
3 1 1
Direct
0.000 0.000 0.500
0.000 0.500 0.000
0.500 0.000 0.000
0.500 0.500 0.500
0.000 0.000 0.000
```

Largest 10 diffraction maxima, by angle, 2θ from 10° to 90°:
- 2θ = 17.59°, intensity 1.9
- 2θ = 30.72°, intensity 100.0
- 2θ = 35.62°, intensity 55.8
- 2θ = 40.00°, intensity 0.8
- 2θ = 51.26°, intensity 39.0
- 2θ = 60.96°, intensity 42.6
- 2θ = 63.99°, intensity 13.2
- 2θ = 75.44°, intensity 6.1
- 2θ = 83.62°, intensity 17.6
- 2θ = 86.31°, intensity 17.6